Diffraction record for Tb6US8. The XRD peak list is simulated, not measured: it uses a crystal structure in Alexandria, relaxed with GGA-PBE and Cu Kα.
Lines closer than 0.1° are merged.

Peak list (10 most intense, 15 to 90 degrees two-theta, by angle)
Position (°2θ)	I (rel.)
26.67	16
27.88	75
32.30	100
46.33	72
54.93	37
57.60	25
67.60	12
74.63	15
76.92	32
85.89	25

Structural model:
```
Tb6US8
1.0
0.000 5.543 5.543
5.543 0.000 5.543
5.543 5.543 0.000
Tb U S
6 1 8
Direct
0.000 0.000 0.500
0.000 0.500 0.000
0.000 0.500 0.500
0.500 0.000 0.000
0.500 0.000 0.500
0.500 0.500 0.000
0.000 0.000 0.000
0.250 0.250 0.250
0.251 0.251 0.749
0.251 0.749 0.251
0.251 0.749 0.749
0.749 0.251 0.251
0.749 0.251 0.749
0.749 0.749 0.251
0.750 0.750 0.750
```